Computed XRD peak list of Cu2Te2PtF2 for Cu Kα, 1.54184 Å, from a structure optimized by DFT (GGA-PBE).
Peak positions follow from Bragg's law for the DFT cell and can differ from measured ones.

Crystal structure
a b c (Å): 3.6023 3.6023 9.1011
angles (deg): 90.00 90.00 90.00
Fractional positions:
Cu (0.0000, 0.5000, 0.1354)
Cu (0.5000, 0.0000, 0.8646)
Te (0.0000, 0.5000, 0.7097)
Te (0.5000, 0.0000, 0.2903)
Pt (0.0000, 0.0000, 0.5000)
F (0.0000, 0.0000, 0.0000)
F (0.5000, 0.5000, 0.0000)

The 10 most intense peaks (2θ = 10–90°), low angle first:
two_theta  d/Å  I_rel
24.71  3.602  31
26.61  3.349  78
31.68  2.824  94
38.81  2.320  54
40.59  2.223  100
47.25  1.924  29
50.68  1.801  45
61.02  1.518  30
65.62  1.423  22
88.49  1.105  27


Computed XRD peak list of Pd2Pb3 for Cu Kα, 1.54184 Å, from a structure optimized by DFT (GGA-PBE).
Peak positions follow from Bragg's law for the DFT cell and can differ from measured ones.

Crystal structure
a b c (Å): 7.9715 7.9715 3.6620
angles (deg): 90.00 90.00 90.00
Fractional positions:
Pd (0.1310, 0.3690, 0.0000)
Pd (0.3690, 0.8690, 0.0000)
Pd (0.6310, 0.1310, 0.0000)
Pd (0.8690, 0.6310, 0.0000)
Pb (0.0000, 0.0000, 0.0000)
Pb (0.1615, 0.6615, 0.5000)
Pb (0.3385, 0.1615, 0.5000)
Pb (0.5000, 0.5000, 0.0000)
Pb (0.6615, 0.8385, 0.5000)
Pb (0.8385, 0.3385, 0.5000)

The 10 most intense peaks (2θ = 10–90°), low angle first:
two_theta  d/Å  I_rel
29.08  3.071  17
31.75  2.818  12
33.22  2.697  36
35.13  2.554  100
35.62  2.521  62
49.80  1.831  15
53.60  1.710  12
54.92  1.672  15
62.72  1.481  26
68.35  1.372  18


Computed XRD peak list of ZnGaW4C2 for Cu Kα, 1.54184 Å, from a structure optimized by DFT (GGA-PBE).
Peak positions follow from Bragg's law for the DFT cell and can differ from measured ones.

Crystal structure
a b c (Å): 3.0315 3.0315 13.4960
angles (deg): 90.00 90.00 120.00
Fractional positions:
Zn (0.0000, 0.0000, 0.0000)
Ga (0.3333, 0.6667, 0.5000)
W (0.0000, 0.0000, 0.3415)
W (0.0000, 0.0000, 0.6585)
W (0.3333, 0.6667, 0.1621)
W (0.3333, 0.6667, 0.8379)
C (0.6667, 0.3333, 0.2510)
C (0.6667, 0.3333, 0.7490)

The 10 most intense peaks (2θ = 10–90°), low angle first:
two_theta  d/Å  I_rel
13.12  6.748  16
34.15  2.625  23
34.81  2.577  11
39.75  2.267  100
40.09  2.249  20
53.66  1.708  15
61.14  1.516  20
72.61  1.302  15
75.44  1.260  15
75.66  1.257  19


Computed XRD peak list of HfZrSe6 for Cu Kα, 1.54184 Å, from a structure optimized by DFT (GGA-PBE).
Peak positions follow from Bragg's law for the DFT cell and can differ from measured ones.

Crystal structure
a b c (Å): 5.4464 3.7609 9.7093
angles (deg): 90.00 97.26 90.00
Fractional positions:
Hf (0.0000, 0.0000, 0.0000)
Zr (0.4307, 0.5000, 0.6915)
Se (0.1706, 0.0000, 0.5238)
Se (0.2598, 0.5000, 0.1648)
Se (0.4783, 0.0000, 0.9010)
Se (0.6066, 0.0000, 0.5186)
Se (0.8226, 0.5000, 0.1700)
Se (0.9534, 0.5000, 0.7947)

The 10 most intense peaks (2θ = 10–90°), low angle first:
two_theta  d/Å  I_rel
17.78  4.989  22
19.83  4.477  20
30.15  2.964  100
35.64  2.519  32
36.01  2.494  18
38.99  2.310  24
41.14  2.194  17
41.25  2.188  21
42.05  2.149  19
48.40  1.880  20


Computed XRD peak list of TmHfGe4 for Cu Kα, 1.54184 Å, from a structure optimized by DFT (GGA-PBE).
Peak positions follow from Bragg's law for the DFT cell and can differ from measured ones.

Crystal structure
a b c (Å): 3.8287 3.9047 15.4492
angles (deg): 90.00 90.00 90.00
Fractional positions:
Tm (0.0000, 0.0000, 0.0000)
Tm (0.0000, 0.5000, 0.5000)
Hf (0.5000, 0.0000, 0.2099)
Hf (0.5000, 0.5000, 0.7099)
Ge (0.0000, 0.0000, 0.3517)
Ge (0.0000, 0.0000, 0.6682)
Ge (0.0000, 0.5000, 0.1682)
Ge (0.0000, 0.5000, 0.8517)
Ge (0.5000, 0.0000, 0.5552)
Ge (0.5000, 0.0000, 0.8494)
Ge (0.5000, 0.5000, 0.0552)
Ge (0.5000, 0.5000, 0.3494)

The 10 most intense peaks (2θ = 10–90°), low angle first:
two_theta  d/Å  I_rel
25.97  3.430  20
28.69  3.111  12
34.84  2.575  18
37.10  2.423  14
37.24  2.415  100
42.30  2.137  13
46.52  1.952  16
47.49  1.914  15
80.06  1.199  12
81.52  1.181  10


Computed XRD peak list of AcIn4Cu for Cu Kα, 1.54184 Å, from a structure optimized by DFT (GGA-PBE).
Peak positions follow from Bragg's law for the DFT cell and can differ from measured ones.

Crystal structure
a b c (Å): 9.1670 9.1670 7.4844
angles (deg): 90.00 90.00 150.91
Fractional positions:
Ac (0.1150, 0.8850, 0.7500)
Ac (0.8850, 0.1150, 0.2500)
In (0.0778, 0.9222, 0.2500)
In (0.3126, 0.6874, 0.5511)
In (0.3126, 0.6874, 0.9489)
In (0.5000, 0.5000, 0.0000)
In (0.5000, 0.5000, 0.5000)
In (0.6874, 0.3126, 0.0511)
In (0.6874, 0.3126, 0.4489)
In (0.9222, 0.0778, 0.7500)
Cu (0.2291, 0.7709, 0.2500)
Cu (0.7709, 0.2291, 0.7500)

The 10 most intense peaks (2θ = 10–90°), low angle first:
two_theta  d/Å  I_rel
31.22  2.865  100
31.84  2.811  59
32.55  2.751  18
34.07  2.631  20
34.40  2.607  11
38.81  2.320  25
39.13  2.302  29
56.29  1.634  17
59.33  1.558  11
66.33  1.409  10


Computed XRD peak list of Er3Tm4Te2Pd2 for Cu Kα, 1.54184 Å, from a structure optimized by DFT (GGA-PBE).
Peak positions follow from Bragg's law for the DFT cell and can differ from measured ones.

Crystal structure
a b c (Å): 9.3359 9.3359 9.3359
angles (deg): 155.89 67.06 118.49
Fractional positions:
Er (0.0000, 0.0000, 0.0000)
Er (0.0576, 0.3747, 0.6829)
Er (0.6918, 0.3747, 0.3171)
Tm (0.0907, 0.7342, 0.3565)
Tm (0.3777, 0.7342, 0.6435)
Tm (0.4538, 0.5833, 0.8706)
Tm (0.7127, 0.5833, 0.1294)
Te (0.3381, 0.3381, 0.0000)
Te (0.7345, 0.2345, 0.5000)
Pd (0.3086, 0.0713, 0.2373)
Pd (0.8341, 0.0713, 0.7627)

The 10 most intense peaks (2θ = 10–90°), low angle first:
two_theta  d/Å  I_rel
28.63  3.118  31
30.16  2.963  69
33.02  2.713  60
33.87  2.646  100
34.36  2.610  47
36.44  2.466  21
38.29  2.351  20
46.58  1.950  28
50.99  1.791  19
58.30  1.583  30


Computed XRD peak list of KIn4Au4 for Cu Kα, 1.54184 Å, from a structure optimized by DFT (GGA-PBE).
Peak positions follow from Bragg's law for the DFT cell and can differ from measured ones.

Crystal structure
a b c (Å): 7.1386 7.1386 9.2437
angles (deg): 90.00 90.00 90.00
Fractional positions:
K (0.2500, 0.7500, 0.2500)
K (0.7500, 0.2500, 0.7500)
In (0.0020, 0.2500, 0.1177)
In (0.2500, 0.0020, 0.6177)
In (0.2500, 0.4980, 0.6177)
In (0.4980, 0.2500, 0.1177)
In (0.5020, 0.7500, 0.8823)
In (0.7500, 0.5020, 0.3823)
In (0.7500, 0.9980, 0.3823)
In (0.9980, 0.7500, 0.8823)
Au (0.0513, 0.2500, 0.4217)
Au (0.2500, 0.0513, 0.9217)
Au (0.2500, 0.4487, 0.9217)
Au (0.4487, 0.2500, 0.4217)
Au (0.5513, 0.7500, 0.5783)
Au (0.7500, 0.5513, 0.0783)
Au (0.7500, 0.9487, 0.0783)
Au (0.9487, 0.7500, 0.5783)

The 10 most intense peaks (2θ = 10–90°), low angle first:
two_theta  d/Å  I_rel
15.68  5.650  69
19.20  4.622  36
29.60  3.018  89
31.63  2.829  55
35.57  2.524  92
40.70  2.217  100
41.16  2.193  34
48.33  1.883  63
51.19  1.785  29
53.79  1.704  28


Computed XRD peak list of Zr2AsW for Cu Kα, 1.54184 Å, from a structure optimized by DFT (GGA-PBE).
Peak positions follow from Bragg's law for the DFT cell and can differ from measured ones.

Crystal structure
a b c (Å): 6.6420 6.6420 6.6420
angles (deg): 90.00 90.00 90.00
Fractional positions:
Zr (0.0000, 0.0000, 0.0000)
Zr (0.0000, 0.5000, 0.5000)
Zr (0.2500, 0.2500, 0.2500)
Zr (0.2500, 0.7500, 0.7500)
Zr (0.5000, 0.0000, 0.5000)
Zr (0.5000, 0.5000, 0.0000)
Zr (0.7500, 0.2500, 0.7500)
Zr (0.7500, 0.7500, 0.2500)
As (0.0000, 0.0000, 0.5000)
As (0.0000, 0.5000, 0.0000)
As (0.5000, 0.0000, 0.0000)
As (0.5000, 0.5000, 0.5000)
W (0.2500, 0.2500, 0.7500)
W (0.2500, 0.7500, 0.2500)
W (0.7500, 0.2500, 0.2500)
W (0.7500, 0.7500, 0.7500)

The 10 most intense peaks (2θ = 10–90°), low angle first:
two_theta  d/Å  I_rel
23.19  3.835  9
26.85  3.321  7
38.33  2.348  100
45.28  2.003  5
47.42  1.917  2
55.33  1.661  17
60.79  1.524  2
62.54  1.485  3
69.31  1.356  34
82.08  1.174  11


Computed XRD peak list of MgCd2Ga for Cu Kα, 1.54184 Å, from a structure optimized by DFT (GGA-PBE).
Peak positions follow from Bragg's law for the DFT cell and can differ from measured ones.

Crystal structure
a b c (Å): 6.9869 6.9869 6.9869
angles (deg): 90.00 90.00 90.00
Fractional positions:
Mg (0.0000, 0.0000, 0.0000)
Mg (0.0000, 0.5000, 0.5000)
Mg (0.5000, 0.0000, 0.5000)
Mg (0.5000, 0.5000, 0.0000)
Cd (0.0000, 0.0000, 0.5000)
Cd (0.0000, 0.5000, 0.0000)
Cd (0.2500, 0.2500, 0.2500)
Cd (0.2500, 0.7500, 0.7500)
Cd (0.5000, 0.0000, 0.0000)
Cd (0.5000, 0.5000, 0.5000)
Cd (0.7500, 0.2500, 0.7500)
Cd (0.7500, 0.7500, 0.2500)
Ga (0.2500, 0.2500, 0.7500)
Ga (0.2500, 0.7500, 0.2500)
Ga (0.7500, 0.2500, 0.2500)
Ga (0.7500, 0.7500, 0.7500)

The 10 most intense peaks (2θ = 10–90°), low angle first:
two_theta  d/Å  I_rel
22.04  4.034  21
36.37  2.470  100
42.93  2.107  11
52.38  1.747  17
57.49  1.603  4
65.44  1.426  34
69.97  1.345  3
77.24  1.235  10
81.50  1.181  3
88.51  1.105  15